Starting from a crystal structure in Alexandria, relaxed with GGA+U, the PXRD pattern of Zn2MoSeO7 was computed for Cu Kα X-rays.
Lines closer than 0.1° are merged.

Peak list (6 most intense, 2θ = 10–90°, in order of falling intensity)
index	2θ/deg	intensity
1 2 0	27.0	100.0
1 1 1	25.0	44.9
1 0 -2	27.5	38.4
2 2 -2	44.9	27.1
0 2 2	32.1	22.3
0 0 2	24.3	18.2

Structural model:
Lattice parameters (Å, degrees): 5.206 8.618 7.415 90.00 99.44 90.00
Space group P2_1 (No. 4)
Inequivalent atoms, fractional coordinates:
Zn: 0.038 0.000 0.272 x2
Zn: 0.432 0.827 0.973 x2
Mo: 0.423 0.336 0.483 x2
Se: 0.035 0.128 0.890 x2
O: 0.163 0.661 0.944 x2
O: 0.208 0.479 0.552 x2
O: 0.212 0.299 0.887 x2
O: 0.250 0.018 0.046 x2
O: 0.258 0.155 0.445 x2
O: 0.293 0.816 0.340 x2
O: 0.486 0.896 0.730 x2